No. 1
Diffraction record for Li5SbS. The X-ray diffraction stick pattern is simulated, not measured: it uses a DFT-relaxed cell (PBE, the Materials Project) and copper Kα.

Main lines, by angle (10° ≤ 2θ ≤ 80°):
2θ/deg, d (Å), I (rel.)
13.81, 6.411, 31
20.62, 4.307, 22
24.91, 3.575, 100
27.83, 3.205, 17
29.33, 3.046, 28
32.55, 2.751, 21
34.89, 2.571, 13
40.87, 2.208, 37
41.95, 2.153, 17
47.50, 1.914, 16
49.41, 1.845, 29
65.21, 1.431, 12

Crystal structure
```
Li5SbS
1.0
12.822 0.000 0.000
0.000 4.306 0.000
0.000 0.000 4.308
Li Sb S
10 2 2
Direct
0.106 0.000 0.010
0.107 0.500 0.509
0.250 0.500 0.013
0.393 0.500 0.509
0.394 0.000 0.010
0.606 0.000 0.990
0.607 0.500 0.491
0.750 0.500 0.987
0.893 0.500 0.491
0.894 0.000 0.990
0.250 0.000 0.510
0.750 0.000 0.490
0.000 0.500 0.000
0.500 0.500 0.000
```



No. 2
Diffraction record for SiNi. The X-ray diffraction stick pattern is simulated, not measured: it uses a DFT-relaxed cell (PBE, the Materials Project) and copper Kα.

Main lines, by angle (10° ≤ 2θ ≤ 80°):
2θ/deg, d (Å), I (rel.)
18.89, 4.697, 15
33.58, 2.669, 18
34.99, 2.564, 16
38.32, 2.349, 9
40.52, 2.226, 100
45.07, 2.012, 7
47.81, 1.902, 51
48.88, 1.863, 48
56.76, 1.622, 18
57.00, 1.616, 11
60.50, 1.530, 14
78.13, 1.223, 22

Crystal structure
```
SiNi
1.0
3.061 0.000 0.000
0.000 3.244 0.000
0.000 0.000 4.697
Si Ni
2 2
Direct
0.250 0.250 0.157
0.750 0.750 0.843
0.250 0.250 0.658
0.750 0.750 0.342
```



No. 3
Diffraction record for UMn5Al7. The X-ray diffraction stick pattern is simulated, not measured: it uses a DFT-relaxed cell (PBE, the Materials Project) and copper Kα.

Main lines, by angle (10° ≤ 2θ ≤ 80°):
2θ/deg, d (Å), I (rel.)
14.32, 6.184, 95
20.62, 4.308, 61
28.88, 3.092, 40
29.10, 3.069, 100
35.63, 2.520, 24
35.85, 2.505, 28
41.12, 2.195, 32
41.42, 2.180, 83
41.51, 2.176, 48
41.93, 2.155, 86
59.80, 1.546, 20
68.80, 1.365, 22

Crystal structure
```
UMn5Al7
1.0
-2.476 4.391 4.355
2.476 -4.391 4.355
2.476 4.391 -4.355
U Mn Al
1 5 7
Direct
0.000 0.000 0.000
0.013 0.000 0.485
0.013 0.528 0.013
0.515 0.000 0.987
0.515 0.528 0.515
0.786 0.286 0.500
0.217 0.506 0.711
0.234 0.734 0.500
0.349 0.349 0.000
0.368 0.023 0.344
0.663 0.663 0.000
0.679 0.023 0.656
0.795 0.506 0.289
```